# PmSe
Theoretical powder diffractogram, Cu Kα, 1.54184 Å. Input: the PBE geometry in the Materials Project.
Peak positions follow from Bragg's law for the DFT cell and can differ from measured ones.

```
data_PmSe
_chemical_formula_sum 'Pm4 Se4'
_cell_length_a 5.9367
_cell_length_b 5.9367
_cell_length_c 5.9367
_cell_angle_alpha 90.00
_cell_angle_beta 90.00
_cell_angle_gamma 90.00
_symmetry_space_group_name_H-M 'F m -3 m'
_symmetry_Int_Tables_number 225
_symmetry_space_group_name_Hall '-F 4 2 3'
loop_
_atom_site_label
_atom_site_fract_x
_atom_site_fract_y
_atom_site_fract_z
_atom_site_occupancy
Pm1 0.0000 0.0000 0.0000 1
Se1 0.0000 0.0000 0.5000 1
```

The 10 most intense peaks (2θ = 10–90°), in order of falling intensity:
2θ 30.11, 2.968 Å, I = 100, (2 0 0); 2θ 43.10, 2.099 Å, I = 75, (2 2 0); 2θ 71.00, 1.327 Å, I = 34, (4 2 0); 2θ 53.47, 1.714 Å, I = 26, (2 2 2); 2θ 79.01, 1.212 Å, I = 25, (4 2 2); 2θ 26.00, 3.428 Å, I = 17, (1 1 1); 2θ 62.59, 1.484 Å, I = 12, (4 0 0); 2θ 51.02, 1.790 Å, I = 8, (3 1 1); 2θ 68.95, 1.362 Å, I = 3, (3 3 1); 2θ 84.87, 1.143 Å, I = 3, (5 1 1)